(1)
Diffraction record for K3Ta2Ag3S8. The powder diffractogram is theoretical, not measured: it uses the PBE geometry in OQMD and Cu Ka.
Lines closer than 0.1° are merged.

Structural model:
a b c (Å): 12.7623 12.7623 14.1817
angles (deg): 118.97 118.97 27.10
Sites, in units of the cell vectors:
K 0.0000 0.0000 0.0000
K 0.0000 0.0000 0.5000
K 0.2383 0.3709 0.8980
K 0.3709 0.2383 0.3980
K 0.6291 0.7617 0.6020
K 0.7617 0.6291 0.1020
Ta 0.1631 0.5789 0.2203
Ta 0.4211 0.8369 0.2797
Ta 0.5789 0.1631 0.7203
Ta 0.8369 0.4211 0.7797
Ag 0.0790 0.6633 0.7113
Ag 0.2944 0.7056 0.2500
Ag 0.3367 0.9210 0.7887
Ag 0.6633 0.0790 0.2113
Ag 0.7056 0.2944 0.7500
Ag 0.9210 0.3367 0.2887
S 0.0128 0.1866 0.8864
S 0.0916 0.2262 0.6826
S 0.1866 0.0128 0.3864
S 0.2262 0.0916 0.1826
S 0.2824 0.2912 0.6070
S 0.2912 0.2824 0.1070
S 0.4430 0.4619 0.8478
S 0.4619 0.4430 0.3478
S 0.5381 0.5570 0.6522
S 0.5570 0.5381 0.1522
S 0.7088 0.7176 0.8930
S 0.7176 0.7088 0.3930
S 0.7738 0.9084 0.8174
S 0.8134 0.9872 0.6136
S 0.9084 0.7738 0.3174
S 0.9872 0.8134 0.1136

Most intense lines, 10 to 80 degrees two-theta, sorted by position:
2θ/deg  intensity
12.53  25
14.41  100
15.57  47
16.09  27
16.48  37
25.87  18
26.92  15
31.44  17
33.31  40
42.02  21



(2)
Diffraction record for Zn13Co. The powder diffractogram is theoretical, not measured: it uses the PBE geometry in OQMD and Cu Ka.
Lines closer than 0.1° are merged.

Structural model:
a b c (Å): 6.5650 6.5650 5.0327
angles (deg): 98.93 98.93 69.56
Sites, in units of the cell vectors:
Zn 0.0000 0.0000 0.0000
Zn 0.0020 0.6446 0.1989
Zn 0.2194 0.2194 0.3664
Zn 0.2195 0.6245 0.6787
Zn 0.3554 0.9980 0.8011
Zn 0.3755 0.7805 0.3213
Zn 0.3879 0.3879 0.0724
Zn 0.6121 0.6121 0.9276
Zn 0.6245 0.2195 0.6787
Zn 0.6446 0.0020 0.1989
Zn 0.7805 0.3755 0.3213
Zn 0.7806 0.7806 0.6336
Zn 0.9980 0.3554 0.8011
Co 0.0000 0.0000 0.5000

Most intense lines, 10 to 80 degrees two-theta, sorted by position:
2θ/deg  intensity
36.19  23
41.63  33
42.14  100
42.25  68
43.00  82
43.23  44
43.90  44
44.45  81
74.69  33
76.60  23



(3)
Diffraction record for PrAuS2. The powder diffractogram is theoretical, not measured: it uses the PBE geometry in OQMD and Cu Ka.
Lines closer than 0.1° are merged.

Structural model:
a b c (Å): 6.2130 7.2649 7.9649
angles (deg): 90.00 90.10 90.00
Sites, in units of the cell vectors:
Pr 0.1621 0.0339 0.2500
Pr 0.1621 0.4661 0.7500
Pr 0.8379 0.5339 0.2500
Pr 0.8379 0.9661 0.7500
Au 0.4950 0.7489 0.9983
Au 0.4950 0.7511 0.4983
Au 0.5050 0.2489 0.5017
Au 0.5050 0.2511 0.0017
S 0.0723 0.7495 0.9998
S 0.0723 0.7505 0.4998
S 0.3827 0.0983 0.7520
S 0.3827 0.4017 0.2520
S 0.6173 0.5983 0.7480
S 0.6173 0.9017 0.2480
S 0.9277 0.2495 0.5002
S 0.9277 0.2505 0.0002

Most intense lines, 10 to 80 degrees two-theta, sorted by position:
2θ/deg  intensity
14.26  27
21.88  31
26.59  45
28.46  42
33.37  100
36.69  33
38.12  29
45.56  19
56.09  25
60.86  15



(4)
Diffraction record for BaSrSn2Pd. The powder diffractogram is theoretical, not measured: it uses the PBE geometry in OQMD and Cu Ka.
Lines closer than 0.1° are merged.

Structural model:
a b c (Å): 6.7197 6.7197 6.7197
angles (deg): 133.64 133.64 67.64
Sites, in units of the cell vectors:
Ba 0.0000 0.0000 0.0000
Sr 0.5855 0.5855 0.0000
Sn 0.2707 0.7707 0.5000
Sn 0.7707 0.2707 0.5000
Pd 0.3320 0.3320 0.0000

Most intense lines, 10 to 80 degrees two-theta, sorted by position:
2θ/deg  intensity
15.88  16
28.73  100
29.34  51
32.07  21
33.89  84
45.43  30
47.35  29
48.69  30
55.13  17
57.52  29



(5)
Diffraction record for LaNiSnSbPd. The powder diffractogram is theoretical, not measured: it uses the PBE geometry in OQMD and Cu Ka.
Lines closer than 0.1° are merged.

Structural model:
a b c (Å): 4.5983 4.5983 10.5577
angles (deg): 90.00 90.00 90.00
Sites, in units of the cell vectors:
La 0.2500 0.2500 0.2329
La 0.7500 0.7500 0.7671
Ni 0.2500 0.7500 0.0000
Ni 0.7500 0.2500 0.0000
Sn 0.2500 0.2500 0.8884
Sn 0.7500 0.7500 0.1116
Sb 0.2500 0.7500 0.5000
Sb 0.7500 0.2500 0.5000
Pd 0.2500 0.2500 0.6371
Pd 0.7500 0.7500 0.3629

Most intense lines, 10 to 80 degrees two-theta, sorted by position:
2θ/deg  intensity
27.43  25
32.03  87
32.34  100
39.18  91
44.20  33
47.38  23
51.47  46
56.61  31
63.11  20
66.72  23



(6)
Diffraction record for Ho2Ge4PtO12. The powder diffractogram is theoretical, not measured: it uses the PBE geometry in OQMD and Cu Ka.
Lines closer than 0.1° are merged.

Structural model:
a b c (Å): 4.8926 7.1820 7.8603
angles (deg): 68.35 88.27 76.91
Sites, in units of the cell vectors:
Ho 0.0459 0.2682 0.4506
Ho 0.9541 0.7318 0.5494
Ge 0.4153 0.9001 0.7945
Ge 0.4444 0.6695 0.2204
Ge 0.5556 0.3305 0.7796
Ge 0.5847 0.0999 0.2055
Pt 0.0000 0.5000 0.0000
O 0.2120 0.5687 0.3822
O 0.2118 0.9276 0.6057
O 0.2453 0.2496 0.1963
O 0.2727 0.8538 0.0102
O 0.2785 0.5250 0.7980
O 0.4063 0.1740 0.6932
O 0.5937 0.8260 0.3068
O 0.7215 0.4750 0.2020
O 0.7273 0.1462 0.9898
O 0.7547 0.7504 0.8037
O 0.7882 0.0724 0.3943
O 0.7880 0.4313 0.6178

Most intense lines, 10 to 80 degrees two-theta, sorted by position:
2θ/deg  intensity
13.64  23
14.50  24
25.59  61
28.20  100
29.98  51
31.79  60
34.18  59
35.09  37
37.04  26
39.75  21



(7)
Diffraction record for Y2Ta4Sb3C3. The powder diffractogram is theoretical, not measured: it uses the PBE geometry in OQMD and Cu Ka.
Lines closer than 0.1° are merged.

Structural model:
a b c (Å): 5.9595 5.9595 14.1597
angles (deg): 102.38 102.38 60.26
Sites, in units of the cell vectors:
Y 0.0349 0.8787 0.6026
Y 0.1213 0.9651 0.8974
Y 0.8787 0.0349 0.1026
Y 0.9651 0.1213 0.3974
Ta 0.1950 0.3469 0.0751
Ta 0.2966 0.4839 0.4249
Ta 0.3469 0.1950 0.5751
Ta 0.4839 0.2966 0.9249
Ta 0.5161 0.7034 0.0751
Ta 0.6531 0.8050 0.4249
Ta 0.7034 0.5161 0.5751
Ta 0.8050 0.6531 0.9249
Sb 0.0858 0.2990 0.7527
Sb 0.2990 0.0858 0.2527
Sb 0.4628 0.5372 0.7500
Sb 0.5372 0.4628 0.2500
Sb 0.7010 0.9142 0.7473
Sb 0.9142 0.7010 0.2473
C 0.0000 0.5000 0.5000
C 0.1754 0.6480 0.0003
C 0.3520 0.8246 0.4997
C 0.5000 0.0000 0.0000
C 0.6480 0.1754 0.5003
C 0.8246 0.3520 0.9997

Most intense lines, 10 to 80 degrees two-theta, sorted by position:
2θ/deg  intensity
29.87  12
29.99  24
35.89  100
36.06  47
39.41  23
50.20  13
53.10  21
53.32  10
67.99  9
69.13  11